[1]
The following is a calculated powder X-ray diffraction pattern of Ag3Bi7S12. It was derived from a crystal structure in Alexandria, relaxed with PBE, using Cu Kα.
Peak positions follow from Bragg's law for the DFT cell and can differ from measured ones.

Atomic structure:
a = 7.088 Å, b = 7.088 Å, c = 20.412 Å
α = 100.93°, β = 100.93°, γ = 33.35°
Atoms (fractional coordinates):
Ag (0.000, 0.000, 0.000)
Ag (0.296, 0.296, 0.585)
Ag (0.704, 0.704, 0.415)
Bi (0.000, 0.000, 0.500)
Bi (0.076, 0.076, 0.234)
Bi (0.242, 0.242, 0.912)
Bi (0.378, 0.378, 0.328)
Bi (0.622, 0.622, 0.672)
Bi (0.758, 0.758, 0.088)
Bi (0.924, 0.924, 0.766)
S (0.017, 0.017, 0.366)
S (0.124, 0.124, 0.112)
S (0.278, 0.278, 0.706)
S (0.350, 0.350, 0.471)
S (0.361, 0.361, 0.029)
S (0.432, 0.432, 0.205)
S (0.568, 0.568, 0.795)
S (0.639, 0.639, 0.971)
S (0.650, 0.650, 0.529)
S (0.722, 0.722, 0.294)
S (0.876, 0.876, 0.888)
S (0.983, 0.983, 0.634)

Peak list (8 most intense, 10 to 90 degrees two-theta, in order of falling intensity)
2θ/deg	Rel. int.
30.74	100
25.84	73
24.28	58
45.02	44
27.46	33
29.80	33
44.55	31
26.50	29


[2]
The following is a calculated powder X-ray diffraction pattern of Ag2Bi2SeS3. It was derived from a crystal structure in Alexandria, relaxed with PBE, using Cu Kα.
Peak positions follow from Bragg's law for the DFT cell and can differ from measured ones.

Atomic structure:
a = 7.208 Å, b = 7.208 Å, c = 7.208 Å
α = 134.42°, β = 133.20°, γ = 67.39°
Atoms (fractional coordinates):
Ag (0.000, 0.000, 0.000)
Ag (0.732, 0.232, 0.500)
Bi (0.257, 0.757, 0.500)
Bi (0.504, 0.504, 0.000)
Se (0.764, 0.764, 0.000)
S (0.029, 0.529, 0.500)
S (0.278, 0.278, 0.000)
S (0.506, 0.006, 0.500)

Peak list (8 most intense, 10 to 90 degrees two-theta, in order of falling intensity)
2θ/deg	Rel. int.
26.80	100
29.79	57
31.24	55
32.05	51
43.71	40
55.22	39
45.37	38
44.33	38